Structure and computed PXRD pattern of Ag4Pd3 (the PBE geometry in Alexandria; Cu Kα X-rays).
Neutral-atom scattering factors, no anomalous dispersion.

Peak list (10 most intense, 2θ from 10° to 80°, by intensity)
Position (°2θ)	Rel. int.
37.94	100
38.19	92
38.86	83
40.42	76
46.35	69
41.69	25
68.46	25
79.67	20
62.68	20
45.25	20

Cell and atoms:
```
7
Lattice="6.8604 -1.3999 0.0000 6.8604 1.3999 0.0000 -3.1765 0.0000 6.2460" Properties=species:S:1:pos:R:3 pbc="T T T"
Ag 0.4329 0.0000 1.2904
Ag 4.6415 0.0000 0.6443
Ag 5.9028 0.0000 5.6018
Ag 10.1114 0.0000 4.9556
Pd -1.5883 0.0000 3.1230
Pd 0.9944 0.0000 4.0262
Pd 9.5499 0.0000 2.2198
```